The following is a theoretical PXRD pattern of Hf7Co2Au2. It was derived from a PBE-relaxed structure, using Cu Kα.
Neutral-atom scattering factors, no anomalous dispersion.

Structure:
Cell: 8.6608 8.6608 8.6608 Å, 157.96 67.83 116.77°
Positions (direct):
Hf  0.0000  0.0000  0.0000
Hf  0.3014  0.4314  0.8700
Hf  0.3180  0.6353  0.6827
Hf  0.5614  0.4314  0.1300
Hf  0.6305  0.2777  0.3527
Hf  0.9250  0.2777  0.6473
Hf  0.9526  0.6353  0.3173
Co  0.1809  0.9452  0.2356
Co  0.7096  0.9452  0.7644
Au  0.2662  0.7662  0.5000
Au  0.6684  0.6684  0.0000

Largest 10 diffraction maxima, by angle, 2θ = 15–90°:
32.7 deg, I 20
32.9 deg, I 21
34.1 deg, I 55
35.1 deg, I 100
37.5 deg, I 29
38.3 deg, I 99
38.5 deg, I 48
40.4 deg, I 23
55.5 deg, I 25
67.4 deg, I 31

=====

The following is a theoretical PXRD pattern of TmHfCoAu. It was derived from a PBE-relaxed structure, using Cu Kα.
Neutral-atom scattering factors, no anomalous dispersion.

Structure:
Cell: 4.7596 4.7596 4.7596 Å, 60.00 60.00 60.00°
Positions (direct):
Tm  0.0000  0.0000  0.0000
Hf  0.5000  0.5000  0.5000
Co  0.2500  0.2500  0.2500
Au  0.7500  0.7500  0.7500

Largest 10 diffraction maxima, by angle, 2θ = 15–90°:
22.9 deg, I 12
26.5 deg, I 2
37.8 deg, I 100
44.7 deg, I 7
54.5 deg, I 17
59.9 deg, I 3
68.3 deg, I 35
73.0 deg, I 2
80.8 deg, I 11
85.3 deg, I 2

=====

The following is a theoretical PXRD pattern of La4CoHgAu. It was derived from a PBE-relaxed structure, using Cu Kα.
Neutral-atom scattering factors, no anomalous dispersion.

Structure:
Cell: 8.7949 8.7949 7.3092 Å, 90.00 90.00 131.17°
Positions (direct):
La  0.0000  0.5000  0.0000
La  0.0000  0.5000  0.5000
La  0.0632  0.9368  0.7500
La  0.4265  0.5735  0.7500
La  0.5000  0.0000  0.0000
La  0.5000  0.0000  0.5000
La  0.5735  0.4265  0.2500
La  0.9368  0.0632  0.2500
Co  0.2462  0.7538  0.7500
Co  0.7538  0.2462  0.2500
Hg  0.3833  0.6167  0.2500
Hg  0.6167  0.3833  0.7500
Au  0.1224  0.8776  0.2500
Au  0.8776  0.1224  0.7500

Largest 10 diffraction maxima, by angle, 2θ = 15–90°:
24.4 deg, I 26
24.5 deg, I 26
26.8 deg, I 34
26.9 deg, I 33
32.9 deg, I 61
33.2 deg, I 93
33.6 deg, I 22
34.8 deg, I 100
49.1 deg, I 30
61.5 deg, I 24

=====

The following is a theoretical PXRD pattern of Ho3CoAu. It was derived from a PBE-relaxed structure, using Cu Kα.
Neutral-atom scattering factors, no anomalous dispersion.

Structure:
Cell: 5.8937 5.8937 8.4158 Å, 112.12 112.12 64.34°
Positions (direct):
Ho  0.0193  0.0193  0.2189
Ho  0.2932  0.2932  0.6699
Ho  0.3175  0.3175  0.1396
Ho  0.6825  0.6825  0.8604
Ho  0.7068  0.7068  0.3301
Ho  0.9807  0.9807  0.7811
Co  0.3157  0.6843  0.0000
Co  0.6843  0.3157  0.0000
Au  0.2722  0.7278  0.5000
Au  0.7278  0.2722  0.5000

Largest 10 diffraction maxima, by angle, 2θ = 15–90°:
32.2 deg, I 100
32.9 deg, I 84
33.3 deg, I 55
34.9 deg, I 36
37.0 deg, I 64
37.3 deg, I 73
43.0 deg, I 38
53.5 deg, I 33
56.1 deg, I 35
64.4 deg, I 30

=====

The following is a theoretical PXRD pattern of In2CoAuSe. It was derived from a PBE-relaxed structure, using Cu Kα.
Neutral-atom scattering factors, no anomalous dispersion.

Structure:
Cell: 4.9575 4.9575 4.7830 Å, 90.00 90.00 90.00°
Positions (direct):
In  0.0000  0.5000  0.0000
In  0.5000  0.0000  0.0000
Co  0.0000  0.0000  0.0000
Au  0.0000  0.0000  0.5000
Se  0.5000  0.5000  0.5000

Largest 10 diffraction maxima, by angle, 2θ = 15–90°:
17.9 deg, I 31
31.6 deg, I 100
36.2 deg, I 57
37.6 deg, I 26
52.2 deg, I 20
53.2 deg, I 37
62.3 deg, I 29
64.2 deg, I 13
66.1 deg, I 19
87.2 deg, I 12

=====

The following is a theoretical PXRD pattern of La14Co3Au6. It was derived from a PBE-relaxed structure, using Cu Kα.
Neutral-atom scattering factors, no anomalous dispersion.

Structure:
Cell: 10.4604 10.4604 7.2232 Å, 90.00 90.00 120.00°
Positions (direct):
La  0.0000  0.0000  0.0000
La  0.0771  0.5385  0.2910
La  0.2018  0.4037  0.7584
La  0.2018  0.7982  0.7584
La  0.2481  0.1241  0.4606
La  0.4181  0.2091  0.9707
La  0.4615  0.5385  0.2910
La  0.4615  0.9229  0.2910
La  0.5963  0.7982  0.7584
La  0.6667  0.3333  0.5098
La  0.7909  0.2091  0.9707
La  0.7909  0.5819  0.9707
La  0.8759  0.1241  0.4606
La  0.8759  0.7519  0.4606
Co  0.0000  0.0000  0.6665
Co  0.3333  0.6667  0.5318
Co  0.6667  0.3333  0.1753
Au  0.1468  0.2936  0.1898
Au  0.1468  0.8532  0.1898
Au  0.5208  0.0415  0.7013
Au  0.5208  0.4792  0.7013
Au  0.7064  0.8532  0.1898
Au  0.9585  0.4792  0.7013

Largest 10 diffraction maxima, by angle, 2θ = 15–90°:
23.2 deg, I 28
26.6 deg, I 38
28.9 deg, I 98
31.7 deg, I 100
32.1 deg, I 82
34.3 deg, I 94
36.1 deg, I 28
42.5 deg, I 47
48.3 deg, I 28
65.6 deg, I 27

=====

Question: Which formula does entry 1 have?
Answer: Hf7Co2Au2